Diffraction record for Be3Pd4. The powder XRD pattern is computed, not measured: it uses a structure optimized by DFT (GGA-PBE) and Cu Kα X-rays.

```
data_Be3Pd4
_symmetry_space_group_name_H-M 'R -3 m'
_symmetry_Int_Tables_number 166
_symmetry_space_group_name_Hall '-R 3 2"'
_cell_length_a 3.9588
_cell_length_b 3.9588
_cell_length_c 19.2111
_cell_angle_alpha 90.00
_cell_angle_beta 90.00
_cell_angle_gamma 120.00
loop_
_atom_site_label
_atom_site_type_symbol
_atom_site_fract_x
_atom_site_fract_y
_atom_site_fract_z
Be1 Be 0.0000 0.0000 0.0000
Be2 Be 0.0000 0.0000 0.2493
Pd1 Pd 0.0000 0.0000 0.1259
Pd2 Pd 0.0000 0.0000 0.3755
```

Peak list (6 most intense, 5 to 70 degrees two-theta, by intensity)
- 32.08°, I = 100
- 45.84°, I = 43
- 46.15°, I = 42
- 57.05°, I = 19
- 67.08°, I = 13
- 57.57°, I = 6